For LaNiTe2O8, DFT lattice parameters and positions (PBE+U) gives the theoretical powder diffraction line list in this record (Cu Kα, 1.54184 Å).

Structure:
Cell: 6.0602 6.0602 6.3103 Å, 90.00 90.00 120.00°
Space group P-3m1 (No. 164)
One atom of each set of equivalent atoms:
La1 0.0000 0.0000 0.0000 x1
Ni1 0.0000 0.0000 0.5000 x1
Te1 0.3333 0.6667 0.6358 x2
O1 0.1566 0.3132 0.7207 x6
O2 0.3333 0.6667 0.3492 x2

Most intense lines, 2θ from 10° to 90°, sorted by position:
| 2θ/deg | I/Imax | index |
| --- | --- | --- |
| 14.0 | 17 | 0 0 1 |
| 22.0 | 100 | 1 0 1 |
| 29.5 | 95 | 1 1 0 |
| 33.1 | 54 | 0 1 2 |
| 37.1 | 16 | 0 2 1 |
| 44.9 | 28 | 2 0 2 |
| 48.1 | 27 | 2 1 1 |
| 52.3 | 19 | 3 0 0 |
| 54.7 | 29 | 1 2 2 |
| 61.2 | 17 | 2 2 0 |